Structure and simulated X-ray powder pattern of K2ScMn (a structure optimized by DFT (PBE); Cu Kα (λ = 1.5418 Å)).
No peak broadening, texture or thermal motion is included.

Principal peaks in the range 10 to 90 degrees two-theta, sorted by position:
23.4 deg, rel. 35, hkl 0 0 3; 29.7 deg, rel. 100, hkl 1 0 2; 34.6 deg, rel. 48, hkl 1 0 3; 35.8 deg, rel. 56, hkl 1 1 0; 36.7 deg, rel. 12, hkl 1 1 1; 43.2 deg, rel. 24, hkl 1 1 3; 47.4 deg, rel. 23, hkl 1 0 5; 51.5 deg, rel. 18, hkl 2 0 0; 60.6 deg, rel. 21, hkl 2 1 2; 63.6 deg, rel. 14, hkl 2 1 3

Cell and atoms:
a = 3.547 Å, b = 3.547 Å, c = 11.399 Å
α = 90.00°, β = 90.00°, γ = 90.00°
Space group P4mm (No. 99)
Symmetry-distinct sites (fractional):
K (0.000, 0.000, 0.000) [1 per cell]
K (0.500, 0.500, 0.363) [1 per cell]
Sc (0.500, 0.500, 0.716) [1 per cell]
Mn (0.000, 0.000, 0.594) [1 per cell]